Diffraction record for FeS2. The X-ray diffraction stick pattern is simulated, not measured: it uses a DFT-relaxed cell (PBE, the Materials Project) and Cu Kα.
Lines closer than 0.1° are merged.

Structure:
```
data_FeS2
_chemical_formula_sum 'Fe3 S6'
_cell_length_a 3.2009
_cell_length_b 3.2009
_cell_length_c 21.6586
_cell_angle_alpha 90.00
_cell_angle_beta 90.00
_cell_angle_gamma 120.00
_symmetry_space_group_name_H-M 'R -3 m'
_symmetry_Int_Tables_number 166
_symmetry_space_group_name_Hall '-R 3 2"'
loop_
_atom_site_label
_atom_site_type_symbol
_atom_site_fract_x
_atom_site_fract_y
_atom_site_fract_z
Fe1 Fe 0.0000 0.0000 0.0000
S1 S 0.0000 0.0000 0.3950
```

Peak list (12 most intense, 2θ from 10° to 80°, by angle)
- d 7.220, intensity 100.0, hkl 0 0 3
- d 2.685, intensity 19.1, hkl 0 1 2
- d 2.335, intensity 33.7, hkl 0 1 5
- d 2.065, intensity 6.4, hkl 1 0 7
- d 1.937, intensity 10.6, hkl 0 1 8
- d 1.707, intensity 11.3, hkl 1 0 10
- d 1.600, intensity 9.5, hkl 1 1 0
- d 1.563, intensity 8.2, hkl 1 1 3
- d 1.428, intensity 4.3, hkl 1 0 13
- d 1.375, intensity 2.0, hkl 2 0 2
- d 1.320, intensity 4.7, hkl 2 0 5
- d 1.234, intensity 2.2, hkl 2 0 8